No. 1
For HoPuSc14, a crystal structure in Alexandria, relaxed with GGA-PBE gives the calculated X-ray powder pattern in this record (Cu Kα (λ = 1.5418 Å)).

Cell and atoms:
a b c (Å): 10.2781 6.4093 6.4093
angles (deg): 70.53 90.00 90.00
Element x y z (fractional)
Ho1 0.0000 0.0000 0.0000
Pu1 0.0000 0.5451 0.5451
Sc1 0.0000 0.0609 0.4841
Sc2 0.0000 0.4841 0.0609
Sc3 0.2365 0.7542 0.7542
Sc4 0.2542 0.2691 0.6949
Sc5 0.2542 0.6949 0.2691
Sc6 0.2683 0.2082 0.2082
Sc7 0.5000 0.4146 0.4146
Sc8 0.5000 0.4831 0.9004
Sc9 0.5000 0.9004 0.4831
Sc10 0.5000 0.9620 0.9620
Sc11 0.7317 0.2082 0.2082
Sc12 0.7458 0.2691 0.6949
Sc13 0.7458 0.6949 0.2691
Sc14 0.7635 0.7542 0.7542

Main lines, in order of falling intensity (2θ = 5–70°):
34.4°, I = 100; 8.6°, I = 64; 34.9°, I = 32; 30.8°, I = 29; 19.0°, I = 23; 17.0°, I = 19; 35.4°, I = 18; 17.3°, I = 16; 62.3°, I = 15; 39.8°, I = 15

No. 2
For Er4SbIr2, a crystal structure in Alexandria, relaxed with GGA-PBE gives the calculated X-ray powder pattern in this record (Cu Kα (λ = 1.5418 Å)).

Cell and atoms:
a b c (Å): 7.9982 7.9982 7.9982
angles (deg): 111.03 110.98 106.45
Element x y z (fractional)
Er1 0.2250 0.2904 0.5654
Er2 0.2250 0.6595 0.9346
Er3 0.2905 0.2250 0.0655
Er4 0.3405 0.7750 0.5655
Er5 0.6595 0.2250 0.4345
Er6 0.7095 0.7750 0.9345
Er7 0.7750 0.3405 0.0654
Er8 0.7750 0.7096 0.4346
Sb1 0.1246 0.8746 0.2500
Sb2 0.8754 0.1254 0.7500
Ir1 0.0000 0.5000 0.5000
Ir2 0.5000 0.0000 0.0000
Ir3 0.5000 0.5000 0.0000
Ir4 0.5000 0.5000 0.5000

Main lines, in order of falling intensity (2θ = 5–70°):
37.0°, I = 100; 29.7°, I = 88; 27.9°, I = 87; 13.5°, I = 62; 47.4°, I = 62; 39.8°, I = 44; 46.0°, I = 43; 37.6°, I = 25; 19.6°, I = 21; 58.6°, I = 21

No. 3
For Nd3Ho6Tl, a crystal structure in Alexandria, relaxed with GGA-PBE gives the calculated X-ray powder pattern in this record (Cu Kα (λ = 1.5418 Å)).

Cell and atoms:
a b c (Å): 12.8231 3.5163 14.3631
angles (deg): 90.00 101.10 90.00
Element x y z (fractional)
Nd1 0.0760 0.2500 0.1011
Nd2 0.3674 0.7500 0.4942
Nd3 0.4218 0.2500 0.9020
Nd4 0.5782 0.7500 0.0980
Nd5 0.6326 0.2500 0.5058
Nd6 0.9240 0.7500 0.8989
Ho1 0.1082 0.2500 0.4592
Ho2 0.1906 0.7500 0.9213
Ho3 0.2267 0.7500 0.2836
Ho4 0.2428 0.7500 0.6873
Ho5 0.3429 0.2500 0.1176
Ho6 0.4881 0.2500 0.6904
Ho7 0.5119 0.7500 0.3096
Ho8 0.6571 0.7500 0.8824
Ho9 0.7572 0.2500 0.3127
Ho10 0.7733 0.2500 0.7164
Ho11 0.8094 0.2500 0.0787
Ho12 0.8918 0.7500 0.5408
Tl1 0.0358 0.2500 0.7254
Tl2 0.9642 0.7500 0.2746

Main lines, in order of falling intensity (2θ = 5–70°):
31.8°, I = 100; 31.0°, I = 62; 30.4°, I = 47; 33.3°, I = 40; 33.4°, I = 37; 37.0°, I = 28; 61.8°, I = 18; 49.6°, I = 18; 52.0°, I = 17; 57.7°, I = 14

No. 4
For Rb3Ti3NiS8, a crystal structure in Alexandria, relaxed with GGA-PBE gives the calculated X-ray powder pattern in this record (Cu Kα (λ = 1.5418 Å)).

Cell and atoms:
a b c (Å): 8.7692 8.7692 8.7692
angles (deg): 48.23 48.23 48.23
Element x y z (fractional)
Rb1 0.0000 0.5000 0.5000
Rb2 0.5000 0.0000 0.5000
Rb3 0.5000 0.5000 0.0000
Ti1 0.0000 0.0000 0.5000
Ti2 0.0000 0.5000 0.0000
Ti3 0.5000 0.0000 0.0000
Ni1 0.5000 0.5000 0.5000
S1 0.2245 0.7233 0.7233
S2 0.2267 0.2267 0.2267
S3 0.2767 0.2767 0.7755
S4 0.2767 0.7755 0.2767
S5 0.7233 0.2245 0.7233
S6 0.7233 0.7233 0.2245
S7 0.7733 0.7733 0.7733
S8 0.7755 0.2767 0.2767

Main lines, in order of falling intensity (2θ = 5–70°):
32.7°, I = 100; 51.0°, I = 30; 42.7°, I = 29; 23.0°, I = 17; 34.8°, I = 17; 14.8°, I = 16; 49.0°, I = 15; 61.9°, I = 14; 29.8°, I = 13; 63.7°, I = 11

No. 5
For CsNaPuBr6, a crystal structure in Alexandria, relaxed with GGA-PBE gives the calculated X-ray powder pattern in this record (Cu Kα (λ = 1.5418 Å)).

Cell and atoms:
a b c (Å): 7.5728 7.5728 16.0018
angles (deg): 90.00 90.00 120.00
Element x y z (fractional)
Cs1 0.0000 0.0000 0.0000
Cs2 0.0000 0.0000 0.5000
Na1 0.3333 0.6667 0.2500
Na2 0.6667 0.3333 0.7500
Pu1 0.3333 0.6667 0.7500
Pu2 0.6667 0.3333 0.2500
Br1 0.0243 0.3804 0.6493
Br2 0.0243 0.6439 0.8507
Br3 0.3561 0.3804 0.8507
Br4 0.3561 0.9757 0.6493
Br5 0.3804 0.0243 0.1493
Br6 0.3804 0.3561 0.3507
Br7 0.6196 0.6439 0.6493
Br8 0.6196 0.9757 0.8507
Br9 0.6439 0.0243 0.3507
Br10 0.6439 0.6196 0.1493
Br11 0.9757 0.3561 0.1493
Br12 0.9757 0.6196 0.3507

Main lines, in order of falling intensity (2θ = 5–70°):
32.6°, I = 100; 17.5°, I = 91; 14.6°, I = 80; 26.0°, I = 71; 41.3°, I = 42; 11.1°, I = 41; 38.0°, I = 29; 41.4°, I = 21; 53.6°, I = 21; 21.5°, I = 20

No. 6
For Na3GaNi, a crystal structure in Alexandria, relaxed with GGA-PBE gives the calculated X-ray powder pattern in this record (Cu Kα (λ = 1.5418 Å)).

Cell and atoms:
a b c (Å): 5.2578 5.2578 5.2578
angles (deg): 90.00 90.00 90.00
Element x y z (fractional)
Na1 0.0000 0.0000 0.5000
Na2 0.0000 0.5000 0.0000
Na3 0.5000 0.0000 0.0000
Ga1 0.5000 0.5000 0.5000
Ni1 0.0000 0.0000 0.0000

Main lines, in order of falling intensity (2θ = 5–70°):
23.9°, I = 100; 34.1°, I = 69; 49.0°, I = 47; 42.1°, I = 44; 66.5°, I = 21; 29.4°, I = 20; 55.2°, I = 19; 61.1°, I = 15; 58.2°, I = 8; 16.9°, I = 3

No. 7
For SrCa2AcS4, a crystal structure in Alexandria, relaxed with GGA-PBE gives the calculated X-ray powder pattern in this record (Cu Kα (λ = 1.5418 Å)).

Cell and atoms:
a b c (Å): 7.2182 4.1682 7.2345
angles (deg): 90.00 109.42 90.00
Element x y z (fractional)
Sr1 0.0000 0.0000 0.0000
Ca1 0.5000 0.0000 0.5000
Ca2 0.5000 0.5000 0.0000
Ac1 0.0000 0.5000 0.5000
S1 0.2638 0.5000 0.2547
S2 0.2661 0.0000 0.7566
S3 0.7339 0.0000 0.2434
S4 0.7362 0.5000 0.7453

Main lines, in order of falling intensity (2θ = 5–70°):
30.3°, I = 100; 43.4°, I = 72; 13.0°, I = 49; 26.2°, I = 45; 25.0°, I = 39; 51.4°, I = 22; 33.1°, I = 22; 53.9°, I = 18; 45.5°, I = 15; 39.7°, I = 15

No. 8
For CeMg5Rh2, a crystal structure in Alexandria, relaxed with GGA-PBE gives the calculated X-ray powder pattern in this record (Cu Kα (λ = 1.5418 Å)).

Cell and atoms:
a b c (Å): 6.7577 6.7577 6.7577
angles (deg): 145.93 101.14 88.76
Element x y z (fractional)
Ce1 0.0000 0.0000 0.0000
Mg1 0.1552 0.3373 0.8179
Mg2 0.4806 0.6627 0.8179
Mg3 0.5000 0.0000 0.5000
Mg4 0.5194 0.3373 0.1821
Mg5 0.8448 0.6627 0.1821
Rh1 0.2082 0.7082 0.5000
Rh2 0.7918 0.2918 0.5000

Main lines, in order of falling intensity (2θ = 5–70°):
31.0°, I = 100; 13.8°, I = 93; 20.7°, I = 86; 35.9°, I = 76; 43.3°, I = 60; 41.8°, I = 35; 32.6°, I = 28; 43.0°, I = 25; 32.1°, I = 25; 45.8°, I = 25

No. 9
For AcAgO, a crystal structure in Alexandria, relaxed with GGA-PBE gives the calculated X-ray powder pattern in this record (Cu Kα (λ = 1.5418 Å)).

Cell and atoms:
a b c (Å): 4.1906 4.1906 8.1449
angles (deg): 90.00 90.00 90.00
Element x y z (fractional)
Ac1 0.2500 0.2500 0.1594
Ac2 0.7500 0.7500 0.8406
Ag1 0.2500 0.2500 0.5713
Ag2 0.7500 0.7500 0.4287
O1 0.2500 0.7500 0.0000
O2 0.7500 0.2500 0.0000

Main lines, in order of falling intensity (2θ = 5–70°):
30.6°, I = 100; 30.2°, I = 62; 53.9°, I = 41; 23.9°, I = 41; 43.2°, I = 29; 45.3°, I = 28; 61.0°, I = 15; 33.0°, I = 13; 55.4°, I = 12; 49.9°, I = 12

No. 10
For K2TlHg2Se4, a crystal structure in Alexandria, relaxed with GGA-PBE gives the calculated X-ray powder pattern in this record (Cu Kα (λ = 1.5418 Å)).

Cell and atoms:
a b c (Å): 9.0607 9.0607 7.6322
angles (deg): 110.40 110.40 27.96
Element x y z (fractional)
K1 0.1306 0.1306 0.0468
K2 0.8694 0.8694 0.9532
Tl1 0.0000 0.0000 0.5000
Hg1 0.3383 0.3383 0.5156
Hg2 0.6617 0.6617 0.4844
Se1 0.2167 0.2167 0.7042
Se2 0.4849 0.4849 0.7889
Se3 0.5151 0.5151 0.2111
Se4 0.7833 0.7833 0.2958

Main lines, in order of falling intensity (2θ = 5–70°):
12.4°, I = 100; 31.5°, I = 50; 26.3°, I = 45; 40.4°, I = 41; 32.0°, I = 40; 32.8°, I = 26; 41.2°, I = 21; 30.5°, I = 18; 41.1°, I = 18; 51.5°, I = 17

No. 11
For PmTm2ScSe4, a crystal structure in Alexandria, relaxed with GGA-PBE gives the calculated X-ray powder pattern in this record (Cu Kα (λ = 1.5418 Å)).

Cell and atoms:
a b c (Å): 6.9788 3.9837 7.0672
angles (deg): 90.00 108.81 90.00
Element x y z (fractional)
Pm1 0.0000 0.0000 0.0000
Tm1 0.5000 0.0000 0.5000
Tm2 0.5000 0.5000 0.0000
Sc1 0.0000 0.5000 0.5000
Se1 0.2495 0.0000 0.7390
Se2 0.2579 0.5000 0.2636
Se3 0.7421 0.5000 0.7364
Se4 0.7505 0.0000 0.2610

Main lines, in order of falling intensity (2θ = 5–70°):
31.3°, I = 100; 44.7°, I = 25; 45.1°, I = 24; 44.3°, I = 13; 56.3°, I = 12; 45.5°, I = 12; 65.4°, I = 12; 13.4°, I = 7; 54.9°, I = 7; 55.7°, I = 6

No. 12
For Pm2Pr3Pb4, a crystal structure in Alexandria, relaxed with GGA-PBE gives the calculated X-ray powder pattern in this record (Cu Kα (λ = 1.5418 Å)).

Cell and atoms:
a b c (Å): 8.9271 8.9271 6.9448
angles (deg): 103.75 103.75 33.34
Element x y z (fractional)
Pm1 0.1654 0.1654 0.0826
Pm2 0.8346 0.8346 0.9174
Pr1 0.3851 0.3851 0.4236
Pr2 0.5000 0.5000 0.0000
Pr3 0.6149 0.6149 0.5764
Pb1 0.0054 0.0054 0.2850
Pb2 0.2491 0.2491 0.6997
Pb3 0.7509 0.7509 0.3003
Pb4 0.9946 0.9946 0.7150

Main lines, in order of falling intensity (2θ = 5–70°):
29.1°, I = 100; 32.2°, I = 66; 32.6°, I = 56; 35.0°, I = 54; 33.4°, I = 38; 29.8°, I = 33; 21.5°, I = 21; 46.6°, I = 20; 43.1°, I = 17; 31.8°, I = 15

No. 13
For La8Ir3AuCl4, a crystal structure in Alexandria, relaxed with GGA-PBE gives the calculated X-ray powder pattern in this record (Cu Kα (λ = 1.5418 Å)).

Cell and atoms:
a b c (Å): 9.0439 9.0439 9.0439
angles (deg): 55.94 55.94 55.94
Element x y z (fractional)
La1 0.2211 0.7428 0.7428
La2 0.2354 0.2354 0.2354
La3 0.2572 0.2572 0.7789
La4 0.2572 0.7789 0.2572
La5 0.7428 0.2211 0.7428
La6 0.7428 0.7428 0.2211
La7 0.7646 0.7646 0.7646
La8 0.7789 0.2572 0.2572
Ir1 0.0000 0.0000 0.5000
Ir2 0.0000 0.5000 0.0000
Ir3 0.5000 0.0000 0.0000
Au1 0.5000 0.5000 0.5000
Cl1 0.0000 0.0000 0.0000
Cl2 0.0000 0.5000 0.5000
Cl3 0.5000 0.0000 0.5000
Cl4 0.5000 0.5000 0.0000

Main lines, in order of falling intensity (2θ = 5–70°):
28.9°, I = 100; 11.6°, I = 59; 42.6°, I = 37; 40.0°, I = 33; 36.9°, I = 23; 52.3°, I = 19; 69.7°, I = 15; 44.3°, I = 14; 50.5°, I = 14; 24.5°, I = 11